# 1
# Li2NbP2O8
Simulated PXRD pattern, Cu Kα (weighted mean of Kα1 and Kα2). Input: DFT lattice parameters and positions (GGA-PBE).
Neutral-atom scattering factors, no anomalous dispersion.

Structural model:
Lattice parameters (Å, degrees): 6.0411 4.8482 10.3960 90.00 90.13 90.00
Atoms (fractional coordinates):
1 Li 0.0000 0.2201 0.0000
2 Li 0.0000 0.7799 0.5000
3 Li 0.7882 0.2433 0.7135
4 Li 0.7882 0.7567 0.2135
5 Nb 0.4828 0.2751 0.4359
6 Nb 0.4828 0.7249 0.9359
7 P 0.4973 0.1641 0.1158
8 P 0.4973 0.8359 0.6158
9 P 0.9810 0.3067 0.3101
10 P 0.9810 0.6933 0.8101
11 O 0.1838 0.4256 0.3928
12 O 0.1838 0.5744 0.8928
13 O 0.3016 0.0410 0.0358
14 O 0.3016 0.9590 0.5358
15 O 0.4881 0.0711 0.2584
16 O 0.4881 0.9289 0.7584
17 O 0.5113 0.4817 0.1063
18 O 0.5113 0.5183 0.6063
19 O 0.6965 0.0079 0.0520
20 O 0.6965 0.9921 0.5520
21 O 0.7707 0.4512 0.3810
22 O 0.7707 0.5488 0.8810
23 O 0.9674 0.0033 0.8233
24 O 0.9674 0.9967 0.3233
25 O 0.9846 0.4264 0.1759
26 O 0.9846 0.5736 0.6759

Peak list (10 most intense, 10 to 90 degrees two-theta, by angle)
- 14.66°, rel. 53
- 17.06°, rel. 25
- 20.21°, rel. 100
- 22.56°, rel. 54
- 25.07°, rel. 36
- 29.57°, rel. 34
- 31.74°, rel. 23
- 35.13°, rel. 54
- 36.09°, rel. 34
- 43.86°, rel. 19


# 2
# Tm2PbSe4
Simulated PXRD pattern, Cu Kα (weighted mean of Kα1 and Kα2). Input: DFT lattice parameters and positions (GGA-PBE).
Neutral-atom scattering factors, no anomalous dispersion.

Structural model:
Lattice parameters (Å, degrees): 12.5659 4.0997 14.9612 90.00 90.00 90.00
Atoms (fractional coordinates):
1 Tm 0.0715 0.2500 0.1069
2 Tm 0.0725 0.2500 0.6003
3 Tm 0.4275 0.7500 0.1003
4 Tm 0.4285 0.7500 0.6069
5 Tm 0.5715 0.2500 0.3931
6 Tm 0.5725 0.2500 0.8997
7 Tm 0.9275 0.7500 0.3997
8 Tm 0.9285 0.7500 0.8931
9 Pb 0.2286 0.2500 0.3368
10 Pb 0.2714 0.7500 0.8368
11 Pb 0.7286 0.2500 0.1632
12 Pb 0.7714 0.7500 0.6632
13 Se 0.0057 0.7500 0.7129
14 Se 0.0810 0.2500 0.9187
15 Se 0.1341 0.7500 0.4787
16 Se 0.2170 0.7500 0.1732
17 Se 0.2830 0.2500 0.6732
18 Se 0.3659 0.2500 0.9787
19 Se 0.4190 0.7500 0.4187
20 Se 0.4943 0.2500 0.2129
21 Se 0.5057 0.7500 0.7871
22 Se 0.5810 0.2500 0.5813
23 Se 0.6341 0.7500 0.0213
24 Se 0.7170 0.7500 0.3268
25 Se 0.7830 0.2500 0.8268
26 Se 0.8659 0.2500 0.5213
27 Se 0.9190 0.7500 0.0813
28 Se 0.9943 0.2500 0.2871

Peak list (10 most intense, 10 to 90 degrees two-theta, by angle)
- 23.79°, rel. 41
- 24.35°, rel. 77
- 25.77°, rel. 32
- 25.95°, rel. 39
- 29.07°, rel. 100
- 31.11°, rel. 39
- 35.51°, rel. 84
- 38.86°, rel. 43
- 43.96°, rel. 35
- 44.18°, rel. 48


# 3
# Tb2Si5Ru3
Simulated PXRD pattern, Cu Kα (weighted mean of Kα1 and Kα2). Input: DFT lattice parameters and positions (GGA-PBE).
Neutral-atom scattering factors, no anomalous dispersion.

Structural model:
Lattice parameters (Å, degrees): 8.2610 8.2610 8.2610 108.41 85.21 140.15
Atoms (fractional coordinates):
1 Tb 0.1350 0.2325 0.3675
2 Tb 0.3650 0.7325 0.0975
3 Tb 0.6350 0.2675 0.9025
4 Tb 0.8650 0.7675 0.6325
5 Si 0.0419 0.7500 0.2919
6 Si 0.0958 0.6685 0.7644
7 Si 0.2500 0.2500 0.0000
8 Si 0.4042 0.1685 0.5727
9 Si 0.4581 0.7500 0.7081
10 Si 0.5419 0.2500 0.2919
11 Si 0.5958 0.8315 0.4273
12 Si 0.7500 0.7500 0.0000
13 Si 0.9042 0.3315 0.2356
14 Si 0.9581 0.2500 0.7081
15 Ru 0.1460 0.9071 0.0531
16 Ru 0.2500 0.7500 0.5000
17 Ru 0.3540 0.4071 0.7611
18 Ru 0.6460 0.5929 0.2389
19 Ru 0.7500 0.2500 0.5000
20 Ru 0.8540 0.0929 0.9469

Peak list (10 most intense, 10 to 90 degrees two-theta, by angle)
- 23.43°, rel. 31
- 23.80°, rel. 27
- 29.38°, rel. 23
- 31.79°, rel. 21
- 34.86°, rel. 38
- 35.33°, rel. 100
- 36.95°, rel. 36
- 43.83°, rel. 53
- 56.05°, rel. 27
- 58.94°, rel. 23


# 4
# DyAlO3
Simulated PXRD pattern, Cu Kα (weighted mean of Kα1 and Kα2). Input: DFT lattice parameters and positions (GGA-PBE).
Neutral-atom scattering factors, no anomalous dispersion.

Structural model:
Lattice parameters (Å, degrees): 5.3757 7.4487 5.2195 90.00 90.00 90.00
Atoms (fractional coordinates):
1 Dy 0.0539 0.2500 0.0134
2 Dy 0.4461 0.7500 0.5134
3 Dy 0.5539 0.2500 0.4866
4 Dy 0.9461 0.7500 0.9866
5 Al 0.0000 0.0000 0.5000
6 Al 0.0000 0.5000 0.5000
7 Al 0.5000 0.0000 0.0000
8 Al 0.5000 0.5000 0.0000
9 O 0.0230 0.7500 0.4124
10 O 0.2067 0.5462 0.7932
11 O 0.2067 0.9538 0.7932
12 O 0.2933 0.0462 0.2932
13 O 0.2933 0.4538 0.2932
14 O 0.4770 0.2500 0.9124
15 O 0.5230 0.7500 0.0876
16 O 0.7067 0.5462 0.7068
17 O 0.7067 0.9538 0.7068
18 O 0.7933 0.0462 0.2068
19 O 0.7933 0.4538 0.2068
20 O 0.9770 0.2500 0.5876

Peak list (10 most intense, 10 to 90 degrees two-theta, by angle)
- 23.76°, rel. 57
- 23.89°, rel. 34
- 26.64°, rel. 20
- 33.95°, rel. 100
- 34.36°, rel. 25
- 41.43°, rel. 20
- 42.29°, rel. 27
- 48.63°, rel. 22
- 55.59°, rel. 25
- 61.28°, rel. 22


# 5
# MgAl2H8
Simulated PXRD pattern, Cu Kα (weighted mean of Kα1 and Kα2). Input: DFT lattice parameters and positions (GGA-PBE).
Neutral-atom scattering factors, no anomalous dispersion.

Structural model:
Lattice parameters (Å, degrees): 5.2327 5.2327 6.0425 90.00 90.00 120.00
Atoms (fractional coordinates):
1 Mg 0.0000 0.0000 0.0000
2 Al 0.3333 0.6667 0.7058
3 Al 0.6667 0.3333 0.2942
4 H 0.1676 0.3351 0.8101
5 H 0.1676 0.8324 0.8101
6 H 0.3333 0.6667 0.4404
7 H 0.3351 0.1676 0.1899
8 H 0.6649 0.8324 0.8101
9 H 0.6667 0.3333 0.5596
10 H 0.8324 0.1676 0.1899
11 H 0.8324 0.6649 0.1899

Peak list (10 most intense, 10 to 90 degrees two-theta, by angle)
- 24.55°, rel. 100
- 34.27°, rel. 37
- 35.72°, rel. 27
- 42.61°, rel. 16
- 50.34°, rel. 12
- 55.79°, rel. 18
- 57.77°, rel. 11
- 61.37°, rel. 7
- 62.31°, rel. 11
- 72.21°, rel. 7


# 6
# Mg5Si9
Simulated PXRD pattern, Cu Kα (weighted mean of Kα1 and Kα2). Input: DFT lattice parameters and positions (GGA-PBE).
Neutral-atom scattering factors, no anomalous dispersion.

Structural model:
Lattice parameters (Å, degrees): 6.8716 7.6346 10.5004 85.63 89.69 66.96
Atoms (fractional coordinates):
1 Mg 0.0000 0.0000 0.0000
2 Mg 0.0099 0.4946 0.4167
3 Mg 0.2177 0.2301 0.8528
4 Mg 0.5241 0.3102 0.0620
5 Mg 0.6286 0.3598 0.4033
6 Mg 0.6475 0.8214 0.9345
7 Mg 0.6628 0.1903 0.7574
8 Mg 0.6857 0.5741 0.6327
9 Mg 0.8102 0.9226 0.5299
10 Mg 0.9624 0.3500 0.1467
11 Si 0.0749 0.0650 0.3781
12 Si 0.0769 0.9456 0.7455
13 Si 0.1051 0.5852 0.9714
14 Si 0.2746 0.5525 0.2362
15 Si 0.2774 0.7107 0.4393
16 Si 0.3092 0.5013 0.6326
17 Si 0.3493 0.0396 0.0984
18 Si 0.3565 0.1980 0.5578
19 Si 0.3987 0.1340 0.3157
20 Si 0.4256 0.5630 0.8425
21 Si 0.4317 0.9267 0.7056
22 Si 0.5482 0.7017 0.1756
23 Si 0.5889 0.7766 0.3878
24 Si 0.7931 0.0648 0.2441
25 Si 0.7938 0.4265 0.9003
26 Si 0.9066 0.7422 0.1686
27 Si 0.9765 0.2067 0.5786
28 Si 0.9905 0.6625 0.7442

Peak list (10 most intense, 10 to 90 degrees two-theta, by angle)
- 33.80°, rel. 100
- 35.09°, rel. 53
- 36.85°, rel. 100
- 37.66°, rel. 73
- 38.96°, rel. 40
- 39.16°, rel. 51
- 39.43°, rel. 47
- 40.27°, rel. 72
- 40.44°, rel. 96
- 40.53°, rel. 41


# 7
# VCrMo
Simulated PXRD pattern, Cu Kα (weighted mean of Kα1 and Kα2). Input: DFT lattice parameters and positions (GGA-PBE).
Neutral-atom scattering factors, no anomalous dispersion.

Structural model:
Lattice parameters (Å, degrees): 6.6114 6.4223 2.6495 82.31 74.29 23.40
Atoms (fractional coordinates):
1 V 0.0000 0.0000 0.0000
2 Cr 0.3449 0.3449 0.6551
3 Mo 0.6770 0.6770 0.3230

Peak list (10 most intense, 10 to 90 degrees two-theta, by angle)
- 14.19°, rel. 15
- 36.95°, rel. 9
- 41.46°, rel. 27
- 42.42°, rel. 100
- 43.49°, rel. 23
- 61.45°, rel. 8
- 61.65°, rel. 15
- 76.29°, rel. 17
- 76.86°, rel. 8
- 79.10°, rel. 14